For BaGdCuBO5, DFT lattice parameters and positions (PBE) gives the simulated PXRD pattern in this record (Cu Kα (λ = 1.5418 Å)).
Kinematic intensities with the Lorentz-polarization factor, no thermal factor.

Cell and atoms:
Lattice parameters (Å, degrees): 5.513 5.513 7.542 90.00 90.00 90.00
Space group P4bm (No. 100)
Asymmetric unit:
Ba (0.000, 0.000, 0.000) (multiplicity 2)
Gd (0.000, 0.000, 0.504) (multiplicity 2)
Cu (0.000, 0.500, 0.722) (multiplicity 2)
B (0.000, 0.500, 0.241) (multiplicity 2)
O (0.000, 0.500, 0.056) (multiplicity 2)
O (0.157, 0.343, 0.329) (multiplicity 4)
O (0.247, 0.747, 0.702) (multiplicity 4)

Most intense lines, 2θ from 15° to 90°, sorted by position:
2θ/deg, d/Å, I_rel, (hkl)
22.81, 3.898, 32, 1 1 0
23.59, 3.771, 15, 0 0 2
32.48, 2.756, 47, 2 0 0
33.05, 2.710, 100, 1 1 2
40.54, 2.225, 31, 2 0 2
46.60, 1.949, 26, 2 2 0
48.26, 1.886, 10, 0 0 4
52.49, 1.743, 10, 3 1 0
54.02, 1.697, 13, 1 1 4
58.31, 1.582, 36, 3 1 2
59.39, 1.556, 17, 2 0 4
69.34, 1.355, 13, 2 2 4


For BaSr3Cu8B8O24, DFT lattice parameters and positions (PBE) gives the simulated PXRD pattern in this record (Cu Kα (λ = 1.5418 Å)).
Kinematic intensities with the Lorentz-polarization factor, no thermal factor.

Cell and atoms:
Lattice parameters (Å, degrees): 7.060 9.090 9.104 90.00 90.00 90.00
Space group P222 (No. 16)
Asymmetric unit:
Ba (0.000, 0.000, 0.000) (multiplicity 1)
Sr (0.000, 0.500, 0.500) (multiplicity 1)
Sr (0.500, 0.000, 0.000) (multiplicity 1)
Sr (0.500, 0.500, 0.500) (multiplicity 1)
Cu (0.224, 0.386, 0.885) (multiplicity 4)
Cu (0.280, 0.117, 0.384) (multiplicity 4)
B (0.246, 0.298, 0.205) (multiplicity 4)
B (0.261, 0.205, 0.701) (multiplicity 4)
O (0.211, 0.401, 0.099) (multiplicity 4)
O (0.243, 0.354, 0.669) (multiplicity 4)
O (0.253, 0.174, 0.851) (multiplicity 4)
O (0.257, 0.331, 0.354) (multiplicity 4)
O (0.266, 0.149, 0.172) (multiplicity 4)
O (0.287, 0.097, 0.596) (multiplicity 4)

Most intense lines, 2θ from 15° to 90°, sorted by position:
2θ/deg, d/Å, I_rel, (hkl)
19.52, 4.548, 28, 0 0 2
25.25, 3.527, 70, 2 0 0
27.74, 3.216, 30, 0 2 2
28.85, 3.095, 100, 2 1 1
31.09, 2.877, 48, 0 3 1
32.10, 2.788, 34, 2 2 0
37.86, 2.376, 28, 2 2 2
47.56, 1.912, 61, 2 0 4
51.21, 1.784, 31, 0 5 1
51.82, 1.764, 20, 4 0 0
57.28, 1.608, 20, 0 4 4
65.40, 1.427, 18, 2 5 3